[1]
For K2GaAuF6, the PBE geometry in the Materials Project gives the theoretical powder diffractogram in this record (Cu Kα, 1.54184 Å).
Peak positions follow from Bragg's law for the DFT cell and can differ from measured ones.

Crystal structure
```
data_K2GaAuF6
_cell_length_a 6.2062
_cell_length_b 6.2062
_cell_length_c 6.2062
_cell_angle_alpha 60.00
_cell_angle_beta 60.00
_cell_angle_gamma 60.00
_space_group_name_H-M_alt 'P 1'
_space_group_IT_number 1
_space_group_name_Hall 'P 1'
loop_
_atom_site_label
_atom_site_type_symbol
_atom_site_fract_x
_atom_site_fract_y
_atom_site_fract_z
K1 K 0.2500 0.2500 0.2500
K2 K 0.7500 0.7500 0.7500
Ga1 Ga 0.0000 0.0000 0.0000
Au1 Au 0.5000 0.5000 0.5000
F1 F 0.2194 0.2194 0.7806
F2 F 0.2194 0.7806 0.2194
F3 F 0.2194 0.7806 0.7806
F4 F 0.7806 0.2194 0.2194
F5 F 0.7806 0.2194 0.7806
F6 F 0.7806 0.7806 0.2194
```

Top 10 peaks for 2θ = 10–80°, sorted by position:
2θ/deg  I (rel.)
17.50  20
20.24  61
28.77  100
33.87  22
41.14  39
45.02  15
46.26  27
50.97  38
59.59  23
67.49  19

=====

[2]
For Na2GaAuF6, the PBE geometry in the Materials Project gives the theoretical powder diffractogram in this record (Cu Kα, 1.54184 Å).
Peak positions follow from Bragg's law for the DFT cell and can differ from measured ones.

Crystal structure
```
data_Na2GaAuF6
_cell_length_a 6.1246
_cell_length_b 6.1246
_cell_length_c 6.1246
_cell_angle_alpha 60.00
_cell_angle_beta 60.00
_cell_angle_gamma 60.00
_space_group_name_H-M_alt 'P 1'
_space_group_IT_number 1
_space_group_name_Hall 'P 1'
loop_
_atom_site_label
_atom_site_type_symbol
_atom_site_fract_x
_atom_site_fract_y
_atom_site_fract_z
Na1 Na 0.2500 0.2500 0.2500
Na2 Na 0.7500 0.7500 0.7500
Ga1 Ga 0.0000 0.0000 0.0000
Au1 Au 0.5000 0.5000 0.5000
F1 F 0.2210 0.2210 0.7790
F2 F 0.2210 0.7790 0.2210
F3 F 0.2210 0.7790 0.7790
F4 F 0.7790 0.2210 0.2210
F5 F 0.7790 0.2210 0.7790
F6 F 0.7790 0.7790 0.2210
```

Top 10 peaks for 2θ = 10–80°, sorted by position:
2θ/deg  I (rel.)
17.74  25
20.51  100
29.16  98
34.34  27
41.71  41
46.91  42
51.70  39
60.46  24
64.56  20
68.52  20

=====

[3]
For Rb2GaAuF6, the PBE geometry in the Materials Project gives the theoretical powder diffractogram in this record (Cu Kα, 1.54184 Å).
Peak positions follow from Bragg's law for the DFT cell and can differ from measured ones.

Crystal structure
```
data_Rb2GaAuF6
_cell_length_a 6.2751
_cell_length_b 6.2751
_cell_length_c 6.2751
_cell_angle_alpha 60.00
_cell_angle_beta 60.00
_cell_angle_gamma 60.00
_space_group_name_H-M_alt 'P 1'
_space_group_IT_number 1
_space_group_name_Hall 'P 1'
loop_
_atom_site_label
_atom_site_type_symbol
_atom_site_fract_x
_atom_site_fract_y
_atom_site_fract_z
Rb1 Rb 0.2500 0.2500 0.2500
Rb2 Rb 0.7500 0.7500 0.7500
Ga1 Ga 0.0000 0.0000 0.0000
Au1 Au 0.5000 0.5000 0.5000
F1 F 0.2179 0.2179 0.7821
F2 F 0.2179 0.7821 0.2179
F3 F 0.2179 0.7821 0.7821
F4 F 0.7821 0.2179 0.2179
F5 F 0.7821 0.2179 0.7821
F6 F 0.7821 0.7821 0.2179
```

Top 10 peaks for 2θ = 10–80°, sorted by position:
2θ/deg  I (rel.)
17.31  12
20.01  14
28.45  100
33.49  13
40.67  34
44.50  9
50.37  40
58.87  21
66.65  20
74.01  7